Entry 1:
Starting from a crystal structure in Alexandria, relaxed with GGA-PBE, the X-ray diffraction stick pattern of Cs7Rb3Pd was calculated for Cu Ka.
Neutral-atom scattering factors, no anomalous dispersion.

Cell and atoms:
```
data_Cs7Rb3Pd
_cell_length_a 9.340
_cell_length_b 9.340
_cell_length_c 13.552
_cell_angle_alpha 106.96
_cell_angle_beta 106.96
_cell_angle_gamma 98.52
_symmetry_space_group_name_H-M 'P 1'
_symmetry_Int_Tables_number 1
_symmetry_space_group_name_Hall 'P 1'
loop_
_atom_site_label
_atom_site_type_symbol
_atom_site_fract_x
_atom_site_fract_y
_atom_site_fract_z
_atom_site_occupancy
Cs1 Cs 0.000 0.000 0.000 1
Cs2 Cs 0.073 0.416 0.856 1
Cs3 Cs 0.195 0.540 0.251 1
Cs4 Cs 0.416 0.073 0.856 1
Cs5 Cs 0.526 0.526 0.682 1
Cs6 Cs 0.540 0.195 0.251 1
Cs7 Cs 0.619 0.619 0.118 1
Rb1 Rb 0.083 0.083 0.426 1
Rb2 Rb 0.637 0.979 0.551 1
Rb3 Rb 0.979 0.637 0.551 1
Pd1 Pd 0.309 0.309 0.054 1
```

The 6 most intense peaks (2θ = 10–90°), in order of falling intensity:
| 2θ (°) | I/Imax |
| --- | --- |
| 23.0 | 100 |
| 20.7 | 90 |
| 20.5 | 72 |
| 25.4 | 33 |
| 10.2 | 31 |
| 14.5 | 28 |

=====

Entry 2:
Starting from a crystal structure in Alexandria, relaxed with GGA-PBE, the X-ray diffraction stick pattern of K2CuSi2 was calculated for Cu Ka.
Neutral-atom scattering factors, no anomalous dispersion.

Cell and atoms:
```
data_K2CuSi2
_cell_length_a 9.813
_cell_length_b 9.813
_cell_length_c 2.941
_cell_angle_alpha 90.00
_cell_angle_beta 90.00
_cell_angle_gamma 90.00
_symmetry_space_group_name_H-M 'P 1'
_symmetry_Int_Tables_number 1
_symmetry_space_group_name_Hall 'P 1'
loop_
_atom_site_label
_atom_site_type_symbol
_atom_site_fract_x
_atom_site_fract_y
_atom_site_fract_z
_atom_site_occupancy
K1 K 0.210 0.290 0.000 1
K2 K 0.290 0.790 0.000 1
K3 K 0.710 0.210 0.000 1
K4 K 0.790 0.710 0.000 1
Cu1 Cu 0.000 0.000 0.500 1
Cu2 Cu 0.500 0.500 0.500 1
Si1 Si 0.081 0.581 0.500 1
Si2 Si 0.419 0.081 0.500 1
Si3 Si 0.581 0.919 0.500 1
Si4 Si 0.919 0.419 0.500 1
```

The 6 most intense peaks (2θ = 10–90°), in order of falling intensity:
| 2θ (°) | I/Imax |
| --- | --- |
| 35.6 | 100 |
| 25.7 | 92 |
| 28.8 | 40 |
| 57.2 | 27 |
| 32.9 | 26 |
| 37.8 | 24 |

=====

Entry 3:
Starting from a crystal structure in Alexandria, relaxed with GGA-PBE, the X-ray diffraction stick pattern of Sr3Cd was calculated for Cu Ka.
Neutral-atom scattering factors, no anomalous dispersion.

Cell and atoms:
```
data_Sr3Cd
_cell_length_a 5.338
_cell_length_b 5.663
_cell_length_c 5.658
_cell_angle_alpha 90.00
_cell_angle_beta 90.00
_cell_angle_gamma 90.00
_symmetry_space_group_name_H-M 'P 1'
_symmetry_Int_Tables_number 1
_symmetry_space_group_name_Hall 'P 1'
loop_
_atom_site_label
_atom_site_type_symbol
_atom_site_fract_x
_atom_site_fract_y
_atom_site_fract_z
_atom_site_occupancy
Sr1 Sr 0.000 0.000 0.000 1
Sr2 Sr 0.000 0.500 0.500 1
Sr3 Sr 0.500 0.000 0.500 1
Cd1 Cd 0.500 0.500 0.001 1
```

The 6 most intense peaks (2θ = 10–90°), in order of falling intensity:
| 2θ (°) | I/Imax |
| --- | --- |
| 27.9 | 100 |
| 31.6 | 36 |
| 54.0 | 31 |
| 46.8 | 24 |
| 33.6 | 15 |
| 56.6 | 13 |